For AcMn4O8, a structure optimized by DFT (GGA+U) gives the simulated X-ray powder pattern in this record (Cu Kα X-rays).

```
AcMn4O8
1.0
5.520 -2.899 0.000
5.520 2.899 0.000
-4.825 0.000 6.002
Ac Mn O
1 4 8
direct
0.000 0.000 0.000
0.252 0.748 0.500
0.266 0.266 0.526
0.734 0.734 0.474
0.748 0.252 0.500
0.009 0.532 0.688
0.013 0.013 0.341
0.468 0.991 0.312
0.494 0.494 0.665
0.506 0.506 0.335
0.532 0.009 0.688
0.987 0.987 0.659
0.991 0.468 0.312
```

Most intense lines, 2θ = 5–70°, sorted by position:
16.2 deg, I = 84; 18.5 deg, I = 99; 19.2 deg, I = 100; 29.1 deg, I = 77; 35.0 deg, I = 68; 47.9 deg, I = 60